Entry 1:
For Tb2Pr8Y, DFT lattice parameters and positions (GGA-PBE) gives the theoretical X-ray powder pattern in this record (Cu Kα X-rays).
Kinematic intensities with the Lorentz-polarization factor, no thermal factor.

Structure:
```
11
Lattice="8.519 -3.447 0.000 8.519 3.447 0.000 -1.214 0.000 6.666" Properties=species:S:1:pos:R:3 pbc="T T T"
Tb 2.965 0.000 2.061
Tb 12.858 0.000 4.605
Pr 6.925 1.641 0.620
Pr 3.163 0.000 5.469
Pr 8.899 1.641 6.046
Pr 6.195 0.000 3.888
Pr 9.629 0.000 2.778
Pr 6.925 -1.641 0.620
Pr 12.660 0.000 1.197
Pr 8.899 -1.641 6.046
Y -0.607 0.000 3.333
```

Main lines, sorted by position (10° ≤ 2θ ≤ 90°):
- 2θ = 27.99°, d = 3.188 Å, I 29
- 2θ = 29.17°, d = 3.062 Å, I 47
- 2θ = 29.63°, d = 3.015 Å, I 43
- 2θ = 30.57°, d = 2.925 Å, I 100
- 2θ = 31.49°, d = 2.841 Å, I 54
- 2θ = 31.93°, d = 2.803 Å, I 58
- 2θ = 32.04°, d = 2.794 Å, I 22
- 2θ = 56.92°, d = 1.618 Å, I 18
- 2θ = 61.32°, d = 1.512 Å, I 18
- 2θ = 62.57°, d = 1.485 Å, I 18


Entry 2:
For Tb7PrY2, DFT lattice parameters and positions (GGA-PBE) gives the theoretical X-ray powder pattern in this record (Cu Kα X-rays).
Kinematic intensities with the Lorentz-polarization factor, no thermal factor.

Structure:
```
10
Lattice="6.193 0.000 0.000 2.059 6.857 0.000 2.064 1.245 7.623" Properties=species:S:1:pos:R:3 pbc="T T T"
Tb 0.000 0.000 0.000
Tb 4.123 6.240 4.571
Tb 3.095 0.931 1.526
Tb 4.127 4.365 1.528
Tb 6.188 3.736 6.095
Tb 7.220 7.171 6.096
Tb 6.192 1.861 3.051
Pr 1.029 3.429 0.000
Y 3.101 2.795 4.566
Y 7.214 5.306 3.057
```

Main lines, sorted by position (10° ≤ 2θ ≤ 90°):
- 2θ = 30.61°, d = 2.921 Å, I 100
- 2θ = 35.49°, d = 2.530 Å, I 51
- 2θ = 51.06°, d = 1.789 Å, I 36
- 2θ = 60.66°, d = 1.527 Å, I 11
- 2θ = 60.73°, d = 1.525 Å, I 32
- 2θ = 63.71°, d = 1.461 Å, I 9
- 2θ = 83.18°, d = 1.161 Å, I 6
- 2θ = 83.28°, d = 1.160 Å, I 12
- 2θ = 85.87°, d = 1.132 Å, I 8
- 2θ = 85.97°, d = 1.131 Å, I 8


Entry 3:
For Tb6Pr2Y3, DFT lattice parameters and positions (GGA-PBE) gives the theoretical X-ray powder pattern in this record (Cu Kα X-rays).
Kinematic intensities with the Lorentz-polarization factor, no thermal factor.

Structure:
```
11
Lattice="-2.389 2.389 16.695 2.389 -2.389 16.695 2.389 2.389 -16.695" Properties=species:S:1:pos:R:3 pbc="T T T"
Tb 2.389 0.000 4.058
Tb 0.000 0.000 6.472
Tb 2.389 0.000 12.637
Tb 0.000 2.389 4.058
Tb 0.000 0.000 26.919
Tb 0.000 2.389 12.637
Pr 0.000 0.000 1.546
Pr 0.000 0.000 31.844
Y 0.000 0.000 9.926
Y 0.000 0.000 16.695
Y 0.000 0.000 23.465
```

Main lines, sorted by position (10° ≤ 2θ ≤ 90°):
- 2θ = 10.60°, d = 8.348 Å, I 24
- 2θ = 28.50°, d = 3.131 Å, I 100
- 2θ = 32.17°, d = 2.783 Å, I 24
- 2θ = 34.15°, d = 2.626 Å, I 92
- 2θ = 37.66°, d = 2.389 Å, I 60
- 2θ = 50.35°, d = 1.812 Å, I 28
- 2θ = 54.32°, d = 1.689 Å, I 22
- 2θ = 62.01°, d = 1.497 Å, I 21
- 2θ = 62.48°, d = 1.487 Å, I 22
- 2θ = 65.74°, d = 1.421 Å, I 28


Entry 4:
For Tb6PrY2, DFT lattice parameters and positions (GGA-PBE) gives the theoretical X-ray powder pattern in this record (Cu Kα X-rays).
Kinematic intensities with the Lorentz-polarization factor, no thermal factor.

Structure:
```
9
Lattice="7.431 0.000 0.000 -3.715 6.435 0.000 0.000 0.000 6.156" Properties=species:S:1:pos:R:3 pbc="T T T"
Tb 0.000 2.411 1.836
Tb -1.628 5.230 1.836
Tb 2.088 1.205 4.320
Tb 1.628 5.230 1.836
Tb 5.343 1.205 4.320
Tb 3.715 4.024 4.320
Pr 0.000 0.000 0.000
Y 0.000 4.290 4.872
Y 3.715 2.145 1.284
```

Main lines, sorted by position (10° ≤ 2θ ≤ 90°):
- 2θ = 19.96°, d = 4.448 Å, I 17
- 2θ = 27.73°, d = 3.218 Å, I 13
- 2θ = 29.01°, d = 3.078 Å, I 15
- 2θ = 31.37°, d = 2.852 Å, I 100
- 2θ = 32.24°, d = 2.777 Å, I 14
- 2θ = 36.96°, d = 2.432 Å, I 16
- 2θ = 40.56°, d = 2.224 Å, I 28
- 2θ = 44.74°, d = 2.026 Å, I 13
- 2θ = 49.04°, d = 1.858 Å, I 20
- 2θ = 59.38°, d = 1.556 Å, I 12


Entry 5:
For Tb3Pr2Y4, DFT lattice parameters and positions (GGA-PBE) gives the theoretical X-ray powder pattern in this record (Cu Kα X-rays).
Kinematic intensities with the Lorentz-polarization factor, no thermal factor.

Structure:
```
9
Lattice="5.922 -1.775 0.000 5.922 1.775 0.000 -1.585 0.000 14.318" Properties=species:S:1:pos:R:3 pbc="T T T"
Tb 0.000 0.000 0.000
Tb 3.830 0.000 11.279
Tb 6.428 0.000 3.039
Pr 0.933 0.000 6.180
Pr 9.326 0.000 8.138
Y 0.650 0.000 9.740
Y 3.207 0.000 1.541
Y 7.052 0.000 12.777
Y 9.609 0.000 4.578
```

Main lines, sorted by position (10° ≤ 2θ ≤ 90°):
- 2θ = 15.64°, d = 5.667 Å, I 24
- 2θ = 28.71°, d = 3.109 Å, I 40
- 2θ = 30.33°, d = 2.947 Å, I 68
- 2θ = 30.63°, d = 2.919 Å, I 82
- 2θ = 31.83°, d = 2.811 Å, I 100
- 2θ = 33.25°, d = 2.694 Å, I 49
- 2θ = 35.11°, d = 2.556 Å, I 74
- 2θ = 50.98°, d = 1.791 Å, I 39
- 2θ = 52.97°, d = 1.729 Å, I 24
- 2θ = 60.94°, d = 1.520 Å, I 40


Entry 6:
For Tb3Pr7Y, DFT lattice parameters and positions (GGA-PBE) gives the theoretical X-ray powder pattern in this record (Cu Kα X-rays).
Kinematic intensities with the Lorentz-polarization factor, no thermal factor.

Structure:
```
11
Lattice="5.917 -5.162 0.000 5.917 5.162 0.000 -0.647 0.000 6.505" Properties=species:S:1:pos:R:3 pbc="T T T"
Tb 0.000 0.000 0.000
Tb 5.593 3.425 3.253
Tb 5.593 -3.425 3.253
Pr 2.802 1.798 1.556
Pr 2.344 0.000 4.646
Pr 2.802 -1.798 1.556
Pr 5.593 0.000 3.253
Pr 8.384 1.798 4.949
Pr 8.842 0.000 1.859
Pr 8.384 -1.798 4.949
Y 5.917 0.000 0.000
```

Main lines, sorted by position (10° ≤ 2θ ≤ 90°):
- 2θ = 30.04°, d = 2.975 Å, I 74
- 2θ = 30.36°, d = 2.944 Å, I 67
- 2θ = 30.70°, d = 2.913 Å, I 100
- 2θ = 32.75°, d = 2.735 Å, I 52
- 2θ = 36.53°, d = 2.460 Å, I 64
- 2θ = 49.65°, d = 1.836 Å, I 26
- 2θ = 50.07°, d = 1.822 Å, I 24
- 2θ = 57.17°, d = 1.611 Å, I 28
- 2θ = 62.35°, d = 1.489 Å, I 17
- 2θ = 62.50°, d = 1.486 Å, I 24


Entry 7:
For Tb3Pr3Y8, DFT lattice parameters and positions (GGA-PBE) gives the theoretical X-ray powder pattern in this record (Cu Kα X-rays).
Kinematic intensities with the Lorentz-polarization factor, no thermal factor.

Structure:
```
14
Lattice="-2.860 5.418 7.613 2.860 -5.418 7.613 2.860 5.418 -7.613" Properties=species:S:1:pos:R:3 pbc="T T T"
Tb 0.000 0.000 0.000
Tb 0.000 3.228 0.000
Tb 0.000 7.607 0.000
Pr 2.860 0.000 4.821
Pr 0.000 0.000 7.613
Pr 0.000 5.418 2.793
Y 2.860 1.724 -1.556
Y 2.860 3.677 -4.270
Y 2.860 1.724 1.556
Y 0.000 1.740 3.344
Y 2.860 3.677 4.270
Y 0.000 3.694 6.057
Y 0.000 1.740 11.883
Y 0.000 3.694 9.169
```

Main lines, sorted by position (10° ≤ 2θ ≤ 90°):
- 2θ = 28.71°, d = 3.109 Å, I 21
- 2θ = 29.36°, d = 3.042 Å, I 26
- 2θ = 30.37°, d = 2.943 Å, I 29
- 2θ = 31.27°, d = 2.860 Å, I 49
- 2θ = 31.56°, d = 2.834 Å, I 100
- 2θ = 33.33°, d = 2.688 Å, I 48
- 2θ = 44.17°, d = 2.050 Å, I 25
- 2θ = 55.84°, d = 1.646 Å, I 20
- 2θ = 57.00°, d = 1.616 Å, I 22
- 2θ = 59.46°, d = 1.555 Å, I 12


Entry 8:
For TbPrYZn, DFT lattice parameters and positions (GGA-PBE) gives the theoretical X-ray powder pattern in this record (Cu Kα X-rays).
Kinematic intensities with the Lorentz-polarization factor, no thermal factor.

Structure:
```
4
Lattice="3.608 0.000 0.000 0.000 3.608 0.000 0.000 0.000 8.793" Properties=species:S:1:pos:R:3 pbc="T T T"
Tb 0.000 0.000 0.000
Pr 1.804 1.804 6.177
Y 0.000 0.000 3.535
Zn 1.804 1.804 1.775
```

Main lines, sorted by position (10° ≤ 2θ ≤ 90°):
- 2θ = 26.71°, d = 3.338 Å, I 23
- 2θ = 30.50°, d = 2.931 Å, I 12
- 2θ = 32.09°, d = 2.789 Å, I 100
- 2θ = 35.18°, d = 2.551 Å, I 48
- 2θ = 47.23°, d = 1.924 Å, I 14
- 2θ = 50.60°, d = 1.804 Å, I 17
- 2θ = 55.15°, d = 1.665 Å, I 11
- 2θ = 58.38°, d = 1.581 Å, I 10
- 2θ = 61.19°, d = 1.515 Å, I 31
- 2θ = 80.85°, d = 1.189 Å, I 8